Record 1
Starting from a PBE-relaxed structure, the powder diffractogram of ZnBi2O4 was computed for Cu Kα X-rays.
Neutral-atom scattering factors, no anomalous dispersion.

Most intense lines, 10° ≤ 2θ ≤ 90°, low angle first:
2θ = 16.4°, rel. 35; 2θ = 26.5°, rel. 41; 2θ = 30.2°, rel. 100; 2θ = 30.6°, rel. 73; 2θ = 31.3°, rel. 40; 2θ = 31.7°, rel. 53; 2θ = 37.2°, rel. 30; 2θ = 48.9°, rel. 27; 2θ = 52.7°, rel. 43; 2θ = 54.5°, rel. 39

Crystal structure
```
ZnBi2O4
1.0
3.4768 2.0073 5.4120
-3.4768 2.0073 5.4120
0.0000 -4.0147 5.4120
Zn Bi O
2 4 8
Direct
0.0000 0.0000 0.0000
0.3780 0.3780 0.3780
0.3751 0.3751 0.8843
0.3751 0.8843 0.3751
0.7588 0.7588 0.7588
0.8843 0.3751 0.3751
0.1261 0.1261 0.1261
0.1316 0.1316 0.6239
0.1316 0.6239 0.1316
0.1634 0.6016 0.6016
0.6016 0.1634 0.6016
0.6016 0.6016 0.1634
0.6239 0.1316 0.1316
0.6237 0.6237 0.6237
```

---

Record 2
Starting from a PBE-relaxed structure, the powder diffractogram of ZnBi4O8 was computed for Cu Kα X-rays.
Neutral-atom scattering factors, no anomalous dispersion.

Most intense lines, 10° ≤ 2θ ≤ 90°, low angle first:
2θ = 11.7°, rel. 43; 2θ = 16.9°, rel. 100; 2θ = 27.5°, rel. 39; 2θ = 27.7°, rel. 61; 2θ = 29.5°, rel. 39; 2θ = 30.1°, rel. 54; 2θ = 30.3°, rel. 25; 2θ = 30.5°, rel. 47; 2θ = 30.6°, rel. 36; 2θ = 31.9°, rel. 38

Crystal structure
```
ZnBi4O8
1.0
3.4566 0.0000 0.0000
-1.3682 7.7254 0.0000
-1.2805 -1.8665 8.8525
Zn Bi O
1 4 8
Direct
0.0000 0.0000 0.0000
0.2733 0.6350 0.7616
0.4247 0.2688 0.3878
0.8154 0.3846 0.0600
0.9274 0.0282 0.6460
0.0240 0.3435 0.5455
0.1959 0.2436 0.9264
0.3611 0.0160 0.4906
0.4182 0.4840 0.2058
0.4225 0.9055 0.9047
0.7804 0.7462 0.6383
0.8225 0.5759 0.9276
0.8331 0.1620 0.1736
```

---

Record 3
Starting from a PBE-relaxed structure, the powder diffractogram of ZnBi2O4 was computed for Cu Kα X-rays.
Neutral-atom scattering factors, no anomalous dispersion.

Most intense lines, 10° ≤ 2θ ≤ 90°, low angle first:
2θ = 15.9°, rel. 56; 2θ = 30.7°, rel. 100; 2θ = 32.1°, rel. 53; 2θ = 37.3°, rel. 38; 2θ = 40.7°, rel. 18; 2θ = 49.0°, rel. 37; 2θ = 53.7°, rel. 47; 2θ = 56.4°, rel. 14; 2θ = 64.0°, rel. 26; 2θ = 75.7°, rel. 24

Crystal structure
```
ZnBi2O4
1.0
0.0000 4.8270 4.8270
4.8270 0.0000 4.8270
4.8270 4.8270 0.0000
Zn Bi O
2 4 8
Direct
0.1250 0.1250 0.1250
0.8750 0.8750 0.8750
0.0000 0.5000 0.5000
0.5000 0.0000 0.5000
0.5000 0.5000 0.0000
0.5000 0.5000 0.5000
0.2478 0.7507 0.7507
0.2493 0.2493 0.2493
0.2493 0.2493 0.7522
0.2493 0.7522 0.2493
0.7507 0.2478 0.7507
0.7507 0.7507 0.2478
0.7507 0.7507 0.7507
0.7522 0.2493 0.2493
```

---

Record 4
Starting from a PBE-relaxed structure, the powder diffractogram of ZrBiO4 was computed for Cu Kα X-rays.
Neutral-atom scattering factors, no anomalous dispersion.

Most intense lines, 10° ≤ 2θ ≤ 90°, low angle first:
2θ = 11.4°, rel. 30; 2θ = 22.9°, rel. 56; 2θ = 27.4°, rel. 100; 2θ = 27.7°, rel. 85; 2θ = 28.5°, rel. 90; 2θ = 28.9°, rel. 86; 2θ = 30.2°, rel. 34; 2θ = 32.6°, rel. 54; 2θ = 34.8°, rel. 38; 2θ = 49.9°, rel. 29

Crystal structure
```
ZrBiO4
1.0
5.4995 0.0000 0.0000
-0.3839 7.8347 0.0000
-0.1891 -1.0825 7.7816
Zr Bi O
4 4 16
Direct
0.2211 0.1715 0.3599
0.2571 0.6727 0.3298
0.7429 0.3273 0.6702
0.7789 0.8285 0.6401
0.2452 0.1385 0.8634
0.2767 0.6505 0.8219
0.7233 0.3495 0.1781
0.7548 0.8615 0.1366
0.0085 0.1822 0.1125
0.0820 0.4094 0.8087
0.0946 0.6847 0.5721
0.1019 0.9179 0.3224
0.4027 0.4269 0.3193
0.4107 0.6717 0.0799
0.4153 0.1924 0.5900
0.5002 0.1129 0.1850
0.4998 0.8871 0.8150
0.5847 0.8076 0.4100
0.5893 0.3283 0.9201
0.5973 0.5731 0.6807
0.8981 0.0821 0.6776
0.9054 0.3153 0.4279
0.9180 0.5906 0.1913
0.9915 0.8178 0.8875
```

---

Record 5
Starting from a PBE-relaxed structure, the powder diffractogram of Zr2Bi2O7 was computed for Cu Kα X-rays.
Neutral-atom scattering factors, no anomalous dispersion.

Most intense lines, 10° ≤ 2θ ≤ 90°, low angle first:
2θ = 20.2°, rel. 25; 2θ = 25.8°, rel. 26; 2θ = 27.2°, rel. 23; 2θ = 28.7°, rel. 100; 2θ = 30.2°, rel. 29; 2θ = 31.3°, rel. 39; 2θ = 31.6°, rel. 52; 2θ = 44.8°, rel. 23; 2θ = 45.1°, rel. 19; 2θ = 55.6°, rel. 19

Crystal structure
```
Zr2Bi2O7
1.0
8.0974 0.0000 0.0000
0.0000 5.7171 0.0000
-2.0423 0.0000 13.8277
Zr Bi O
8 8 28
Direct
0.0281 0.0000 0.1143
0.0738 0.4974 0.3169
0.4114 0.0012 0.6768
0.4709 0.4987 0.8824
0.5291 0.9987 0.1176
0.5886 0.5012 0.3232
0.9262 0.9974 0.6831
0.9719 0.5000 0.8857
0.1363 0.5325 0.5595
0.2308 0.0043 0.9139
0.2866 0.4737 0.1302
0.3674 0.9672 0.4017
0.6326 0.4672 0.5983
0.7134 0.9737 0.8698
0.7692 0.5043 0.0861
0.8637 0.0325 0.4405
0.0061 0.6773 0.1787
0.0624 0.2914 0.0196
0.0773 0.7811 0.4137
0.1272 0.2146 0.2243
0.1405 0.2916 0.4371
0.1739 0.9166 0.6917
0.2226 0.6003 0.8856
0.2715 0.8949 0.0841
0.3266 0.6214 0.3057
0.3744 0.3254 0.6162
0.4140 0.8115 0.5486
0.4226 0.1686 0.8233
0.4485 0.2891 0.0202
0.4845 0.2163 0.2269
0.5155 0.7163 0.7731
0.5515 0.7891 0.9798
0.5774 0.6686 0.1767
0.5860 0.3115 0.4514
0.6256 0.8254 0.3838
0.6734 0.1214 0.6943
0.7285 0.3949 0.9159
0.7774 0.1003 0.1144
0.8261 0.4166 0.3083
0.8595 0.7916 0.5629
0.8728 0.7146 0.7757
0.9227 0.2811 0.5863
0.9376 0.7914 0.9804
0.9939 0.1773 0.8213
```

---

Record 6
Starting from a PBE-relaxed structure, the powder diffractogram of ZrBiO4 was computed for Cu Kα X-rays.
Neutral-atom scattering factors, no anomalous dispersion.

Most intense lines, 10° ≤ 2θ ≤ 90°, low angle first:
2θ = 18.6°, rel. 17; 2θ = 28.9°, rel. 100; 2θ = 33.1°, rel. 11; 2θ = 33.7°, rel. 20; 2θ = 47.9°, rel. 34; 2θ = 48.3°, rel. 17; 2θ = 56.5°, rel. 15; 2θ = 57.3°, rel. 30; 2θ = 77.5°, rel. 13; 2θ = 90.0°, rel. 11

Crystal structure
```
ZrBiO4
1.0
-2.6631 2.6631 5.4177
2.6631 -2.6631 5.4177
2.6631 2.6631 -5.4177
Zr Bi O
2 2 8
Direct
0.3750 0.1250 0.2500
0.6250 0.8750 0.7500
0.1250 0.3750 0.7500
0.8750 0.6250 0.2500
0.0382 0.7824 0.7791
0.2409 0.4618 0.2442
0.2824 0.0033 0.7442
0.4967 0.7409 0.2791
0.5033 0.2591 0.7209
0.7176 0.9967 0.2558
0.7591 0.5382 0.7558
0.9618 0.2176 0.2209
```

---

Record 7
Starting from a PBE-relaxed structure, the powder diffractogram of Zr2Bi2O7 was computed for Cu Kα X-rays.
Neutral-atom scattering factors, no anomalous dispersion.

Most intense lines, 10° ≤ 2θ ≤ 90°, low angle first:
2θ = 14.2°, rel. 14; 2θ = 28.6°, rel. 100; 2θ = 33.1°, rel. 35; 2θ = 36.2°, rel. 10; 2θ = 47.5°, rel. 48; 2θ = 56.4°, rel. 45; 2θ = 59.1°, rel. 11; 2θ = 76.7°, rel. 19; 2θ = 79.1°, rel. 15; 2θ = 88.5°, rel. 15

Crystal structure
```
Zr2Bi2O7
1.0
0.0000 5.4132 5.4132
5.4132 0.0000 5.4132
5.4132 5.4132 0.0000
Zr Bi O
4 4 14
Direct
0.0000 0.0000 0.0000
0.0000 0.0000 0.5000
0.0000 0.5000 0.0000
0.5000 0.0000 0.0000
0.0000 0.5000 0.5000
0.5000 0.0000 0.5000
0.5000 0.5000 0.0000
0.5000 0.5000 0.5000
0.0844 0.0844 0.6656
0.0844 0.6656 0.0844
0.0844 0.6656 0.6656
0.3344 0.3344 0.9156
0.3344 0.9156 0.3344
0.3344 0.9156 0.9156
0.3750 0.3750 0.3750
0.6250 0.6250 0.6250
0.6656 0.0844 0.0844
0.6656 0.0844 0.6656
0.6656 0.6656 0.0844
0.9156 0.3344 0.3344
0.9156 0.3344 0.9156
0.9156 0.9156 0.3344
```

---

Record 8
Starting from a PBE-relaxed structure, the powder diffractogram of BiOsSe was computed for Cu Kα X-rays.
Neutral-atom scattering factors, no anomalous dispersion.

Most intense lines, 10° ≤ 2θ ≤ 90°, low angle first:
2θ = 21.1°, rel. 73; 2θ = 29.3°, rel. 64; 2θ = 30.4°, rel. 34; 2θ = 31.9°, rel. 90; 2θ = 32.5°, rel. 99; 2θ = 37.9°, rel. 34; 2θ = 43.3°, rel. 100; 2θ = 45.0°, rel. 44; 2θ = 48.9°, rel. 56; 2θ = 60.6°, rel. 27

Crystal structure
```
BiOsSe
1.0
6.6252 0.0000 0.0000
0.0000 6.4970 0.0000
-2.6255 0.0000 6.0935
Bi Os Se
4 4 4
Direct
0.1434 0.1385 0.3775
0.1434 0.3615 0.8775
0.8566 0.6385 0.1225
0.8566 0.8615 0.6225
0.2971 0.5131 0.3036
0.2971 0.9869 0.8036
0.7029 0.0131 0.1964
0.7029 0.4869 0.6964
0.3533 0.6360 0.6786
0.3533 0.8640 0.1786
0.6467 0.1360 0.8214
0.6467 0.3640 0.3214
```

---

Record 9
Starting from a PBE-relaxed structure, the powder diffractogram of Bi3P was computed for Cu Kα X-rays.
Neutral-atom scattering factors, no anomalous dispersion.

Most intense lines, 10° ≤ 2θ ≤ 90°, low angle first:
2θ = 22.5°, rel. 31; 2θ = 29.5°, rel. 25; 2θ = 34.2°, rel. 100; 2θ = 34.4°, rel. 23; 2θ = 45.9°, rel. 15; 2θ = 52.3°, rel. 19; 2θ = 61.5°, rel. 19; 2θ = 64.0°, rel. 15; 2θ = 64.1°, rel. 21; 2θ = 87.1°, rel. 12

Crystal structure
```
Bi3P
1.0
6.9972 0.0000 0.0000
-3.4986 6.0598 0.0000
0.0000 0.0000 5.2124
Bi P
6 2
Direct
0.1791 0.3582 0.2500
0.1791 0.8209 0.2500
0.3582 0.1791 0.7500
0.6418 0.8209 0.2500
0.8209 0.1791 0.7500
0.8209 0.6418 0.7500
0.3333 0.6667 0.7500
0.6667 0.3333 0.2500
```

---

Record 10
Starting from a PBE-relaxed structure, the powder diffractogram of Bi2P3Se9 was computed for Cu Kα X-rays.
Neutral-atom scattering factors, no anomalous dispersion.

Most intense lines, 10° ≤ 2θ ≤ 90°, low angle first:
2θ = 12.3°, rel. 52; 2θ = 15.4°, rel. 54; 2θ = 16.3°, rel. 80; 2θ = 19.4°, rel. 54; 2θ = 26.4°, rel. 58; 2θ = 31.2°, rel. 50; 2θ = 32.2°, rel. 54; 2θ = 32.4°, rel. 100; 2θ = 32.7°, rel. 68; 2θ = 32.9°, rel. 57

Crystal structure
```
Bi2P3Se9
1.0
9.6625 0.0000 0.0000
0.0000 7.6325 0.0000
-9.1230 0.0000 21.7644
Bi P Se
8 12 36
Direct
0.0688 0.0849 0.3385
0.0688 0.4151 0.8385
0.3905 0.1899 0.6488
0.3905 0.3101 0.1488
0.6095 0.6899 0.8512
0.6095 0.8101 0.3512
0.9312 0.5849 0.1615
0.9312 0.9151 0.6615
0.0779 0.0616 0.1463
0.0779 0.4384 0.6463
0.2469 0.6575 0.6862
0.2469 0.8425 0.1862
0.4250 0.5556 0.9532
0.4250 0.9444 0.4532
0.5750 0.0556 0.5468
0.5750 0.4444 0.0468
0.7531 0.1575 0.8138
0.7531 0.3425 0.3138
0.9221 0.5616 0.3537
0.9221 0.9384 0.8537
0.1254 0.1525 0.0662
0.1254 0.3475 0.5662
0.1469 0.0552 0.8778
0.1469 0.4448 0.3778
0.1508 0.2371 0.7194
0.1508 0.2629 0.2194
0.1625 0.6420 0.1111
0.1625 0.8580 0.6111
0.1988 0.5835 0.9557
0.1988 0.9165 0.4557
0.2201 0.7406 0.2686
0.2201 0.7594 0.7686
0.4274 0.1300 0.3821
0.4274 0.3700 0.8821
0.4723 0.1889 0.0529
0.4723 0.3111 0.5529
0.4718 0.5441 0.7035
0.4718 0.9559 0.2035
0.5282 0.0441 0.7965
0.5282 0.4559 0.2965
0.5277 0.6889 0.4471
0.5277 0.8111 0.9471
0.5726 0.6300 0.1179
0.5726 0.8700 0.6179
0.7799 0.2406 0.2314
0.7799 0.2594 0.7314
0.8012 0.0835 0.5443
0.8012 0.4165 0.0443
0.8375 0.1420 0.3889
0.8375 0.3580 0.8889
0.8492 0.7371 0.7806
0.8492 0.7629 0.2806
0.8531 0.5552 0.6222
0.8531 0.9448 0.1222
0.8746 0.6525 0.4338
0.8746 0.8475 0.9338
```